This entry pairs a crystal structure of Tb2Dy2Er with its simulated powder diffraction line list. Radiation: Cu Kα. Structure: a crystal structure in Alexandria, relaxed with GGA-PBE.
Peak positions follow from Bragg's law for the DFT cell and can differ from measured ones.

Largest 10 diffraction maxima, low angle first, 2θ from 5° to 70°:
2θ (°), I (rel.)
28.4, 11
30.1, 29
31.7, 100
32.0, 16
34.2, 19
35.2, 18
45.7, 12
51.0, 9
56.5, 13
61.3, 18

Atomic structure:
Cell: 16.082 16.082 16.082 Å, 167.22 159.81 23.97°
Atoms (fractional coordinates):
1 Tb 0.272 0.022 0.250
2 Tb 0.370 0.120 0.250
3 Tb 0.630 0.880 0.750
4 Tb 0.728 0.978 0.750
5 Dy 0.057 0.807 0.250
6 Dy 0.458 0.708 0.750
7 Dy 0.542 0.292 0.250
8 Dy 0.943 0.193 0.750
9 Er 0.172 0.422 0.750
10 Er 0.828 0.578 0.250